Structure and theoretical X-ray powder pattern of NaMg (a cell relaxed with PBE; λ = 1.5418 Å (Cu Kα)).
Neutral-atom scattering factors, no anomalous dispersion.

Most intense lines, 2θ = 10–90°, in order of rising 2θ:
Position (°2θ)  intensity
30.76  45
32.37  50
33.12  89
34.87  100
45.26  30
52.25  20
58.22  16
59.36  19
62.82  21
66.51  21

Crystal structure
```
data_NaMg
_cell_length_a 5.5308
_cell_length_b 3.2910
_cell_length_c 6.2025
_cell_angle_alpha 90.00
_cell_angle_beta 90.00
_cell_angle_gamma 90.00
_symmetry_space_group_name_H-M 'P m m a'
_symmetry_Int_Tables_number 51
_symmetry_space_group_name_Hall '-P 2a 2a'
loop_
_atom_site_label
_atom_site_type_symbol
_atom_site_fract_x
_atom_site_fract_y
_atom_site_fract_z
_atom_site_occupancy
Na1 Na 0.2500 0.0000 0.1508 1
Mg1 Mg 0.2500 0.5000 0.6350 1
```



Structure and theoretical X-ray powder pattern of NaMg3 (a cell relaxed with PBE; λ = 1.5418 Å (Cu Kα)).
Neutral-atom scattering factors, no anomalous dispersion.

Most intense lines, 2θ = 10–90°, in order of rising 2θ:
Position (°2θ)  intensity
33.30  100
38.14  34
39.62  15
55.04  11
56.17  21
65.87  25
67.89  11
69.92  10
81.60  3
85.35  1

Crystal structure
```
data_NaMg3
_cell_length_a 4.7193
_cell_length_b 4.7193
_cell_length_c 9.0987
_cell_angle_alpha 90.00
_cell_angle_beta 90.00
_cell_angle_gamma 90.00
_symmetry_space_group_name_H-M 'I 4/m m m'
_symmetry_Int_Tables_number 139
_symmetry_space_group_name_Hall '-I 4 2'
loop_
_atom_site_label
_atom_site_type_symbol
_atom_site_fract_x
_atom_site_fract_y
_atom_site_fract_z
_atom_site_occupancy
Na1 Na 0.0000 0.0000 0.0000 1
Mg1 Mg 0.0000 0.0000 0.5000 1
Mg2 Mg 0.0000 0.5000 0.2500 1
```